# 1
The following is a calculated powder X-ray diffraction pattern of LiUPbCl6. It was derived from a cell relaxed with GGA-PBE, using Cu Kα, 1.54184 Å.

a b c (Å): 6.8702 6.8702 12.7639
angles (deg): 90.00 90.00 120.00
Space group P-31c (No. 163)
Asymmetric unit:
Li 0.3333 0.6667 0.2500 (multiplicity 2)
U 0.3333 0.6667 0.7500 (multiplicity 2)
Pb 0.0000 0.0000 0.0000 (multiplicity 2)
Cl 0.0141 0.3585 0.1324 (multiplicity 12)

Main lines, in order of rising 2θ (2θ from 15° to 90°):
h k l, 2theta, Rel. int.
1 0 1, 16.44, 526
1 0 2, 20.41, 1000
1 0 3, 25.74, 219
1 1 0, 25.94, 289
2 0 2, 33.23, 297
1 1 4, 38.51, 575
2 1 2, 42.63, 312
3 0 0, 45.75, 240

=====

# 2
The following is a calculated powder X-ray diffraction pattern of SmEr3Cd4. It was derived from a cell relaxed with GGA-PBE, using Cu Kα, 1.54184 Å.

a b c (Å): 10.5081 7.5761 5.2540
angles (deg): 90.00 90.00 90.00
Space group Pmma (No. 51)
Asymmetric unit:
Sm 0.0000 0.0000 0.0000 (multiplicity 2)
Er 0.0000 0.5000 0.0000 (multiplicity 2)
Er 0.2500 0.0000 0.4991 (multiplicity 2)
Er 0.2500 0.5000 0.4991 (multiplicity 2)
Cd 0.0000 0.2570 0.5000 (multiplicity 4)
Cd 0.2500 0.2570 0.9989 (multiplicity 4)

Main lines, in order of rising 2θ (2θ from 15° to 90°):
h k l, 2theta, Rel. int.
2 2 1, 33.79, 1000
4 0 0, 34.13, 488
0 4 0, 48.04, 91
4 0 2, 49.04, 174
4 4 0, 60.24, 183
6 2 1, 60.88, 358
4 4 2, 71.08, 111
2 6 1, 80.31, 79

=====

# 3
The following is a calculated powder X-ray diffraction pattern of Zr2CoSi4Ir3. It was derived from a cell relaxed with GGA-PBE, using Cu Kα, 1.54184 Å.

a b c (Å): 3.9280 3.9280 10.0712
angles (deg): 90.00 90.00 90.00
Space group P-4m2 (No. 115)
Asymmetric unit:
Zr 0.0000 0.5000 0.2338 (multiplicity 2)
Co 0.5000 0.5000 0.0000 (multiplicity 1)
Si 0.0000 0.0000 0.5000 (multiplicity 1)
Si 0.0000 0.5000 0.8687 (multiplicity 2)
Si 0.5000 0.5000 0.5000 (multiplicity 1)
Ir 0.0000 0.0000 0.0000 (multiplicity 1)
Ir 0.0000 0.5000 0.6358 (multiplicity 2)

Main lines, in order of rising 2θ (2θ from 15° to 90°):
h k l, 2theta, Rel. int.
1 0 1, 24.32, 345
1 0 2, 28.83, 906
1 1 1, 33.47, 645
1 0 3, 35.17, 741
1 1 2, 36.96, 1000
2 0 0, 46.22, 765
1 1 4, 48.82, 474
1 0 5, 50.95, 428

=====

# 4
The following is a calculated powder X-ray diffraction pattern of Tl2OsPdO6. It was derived from a cell relaxed with GGA-PBE, using Cu Kα, 1.54184 Å.

a b c (Å): 6.0637 6.0637 5.3680
angles (deg): 90.00 90.00 120.00
Space group P-3m1 (No. 164)
Asymmetric unit:
Tl 0.3333 0.6667 0.2787 (multiplicity 2)
Os 0.0000 0.0000 0.0000 (multiplicity 1)
Pd 0.0000 0.0000 0.5000 (multiplicity 1)
O 0.1428 0.2856 0.7689 (multiplicity 6)

Main lines, in order of rising 2θ (2θ from 15° to 90°):
h k l, 2theta, Rel. int.
0 1 1, 23.70, 886
1 1 0, 29.46, 1000
1 0 2, 37.64, 514
2 0 1, 38.16, 423
0 2 2, 48.50, 325
1 2 1, 48.93, 236
3 0 0, 52.26, 203
2 1 2, 57.77, 360